Record 1
This entry pairs a crystal structure of Pr4Dy2Er3 with its simulated powder diffraction line list. Radiation: Cu Kα (λ = 1.5418 Å). Structure: a crystal structure in Alexandria, relaxed with PBE.

The 6 most intense peaks (10 to 80 degrees two-theta), sorted by position:
Position (°2θ)  Rel. int.
29.71  11
29.84  13
30.80  100
32.77  28
33.17  15
33.44  13

Cell and atoms:
```
Pr4Dy2Er3
1.0
7.1237 0.0000 0.0000
-1.7454 8.3712 0.0000
-1.8617 -2.0779 10.0583
Pr Dy Er
8 4 6
Direct
0.0228 0.1635 0.4438 Pr
0.1415 0.8281 0.2360 Pr
0.3240 0.4754 0.3346 Pr
0.4430 0.1643 0.1092 Pr
0.5570 0.8357 0.8908 Pr
0.6760 0.5246 0.6654 Pr
0.8585 0.1719 0.7640 Pr
0.9772 0.8365 0.5562 Pr
0.0594 0.8337 0.8915 Dy
0.1754 0.5239 0.6633 Dy
0.8246 0.4761 0.3367 Dy
0.9406 0.1663 0.1085 Dy
0.2505 0.5000 0.9981 Er
0.3622 0.1754 0.7606 Er
0.4753 0.8360 0.5555 Er
0.5247 0.1640 0.4445 Er
0.6378 0.8246 0.2394 Er
0.7495 0.5000 0.0019 Er
```

Record 2
This entry pairs a crystal structure of Pr4Dy8Er with its simulated powder diffraction line list. Radiation: Cu Kα (λ = 1.5418 Å). Structure: a crystal structure in Alexandria, relaxed with PBE.

The 6 most intense peaks (10 to 80 degrees two-theta), sorted by position:
Position (°2θ)  Rel. int.
19.65  10
22.72  9
32.36  100
46.41  18
57.67  28
57.81  9

Cell and atoms:
```
Pr4Dy8Er
1.0
5.5393 3.1981 4.5096
-5.5393 3.1981 4.5096
0.0000 -6.3962 4.5096
Pr Dy Er
4 8 1
Direct
0.0000 0.0000 0.0000 Pr
0.0000 0.5000 0.5000 Pr
0.5000 0.0000 0.5000 Pr
0.5000 0.5000 0.0000 Pr
0.2400 0.2400 0.2400 Dy
0.2396 0.2396 0.7590 Dy
0.2396 0.7590 0.2396 Dy
0.2410 0.7604 0.7604 Dy
0.7590 0.2396 0.2396 Dy
0.7604 0.2410 0.7604 Dy
0.7604 0.7604 0.2410 Dy
0.7600 0.7600 0.7600 Dy
0.5000 0.5000 0.5000 Er
```

Record 3
This entry pairs a crystal structure of PrDy5Er5 with its simulated powder diffraction line list. Radiation: Cu Kα (λ = 1.5418 Å). Structure: a crystal structure in Alexandria, relaxed with PBE.

The 6 most intense peaks (10 to 80 degrees two-theta), sorted by position:
Position (°2θ)  Rel. int.
28.92  100
29.46  86
35.06  36
35.73  33
51.92  39
61.13  27

Cell and atoms:
```
PrDy5Er5
1.0
6.0645 0.0000 0.0000
-3.0323 5.2520 0.0000
0.0000 0.0000 11.4480
Pr Dy Er
1 5 5
Direct
0.0000 0.0000 0.0000 Pr
0.0028 0.5014 0.5000 Dy
0.4986 0.5014 0.5000 Dy
0.4986 0.9972 0.5000 Dy
0.6667 0.3333 0.2641 Dy
0.6667 0.3333 0.7359 Dy
0.0000 0.0000 0.3286 Er
0.0000 0.0000 0.6714 Er
0.3333 0.6667 0.1602 Er
0.3333 0.6667 0.8398 Er
0.6667 0.3333 0.0000 Er
```

Record 4
This entry pairs a crystal structure of Pr3Dy6Er2Pu with its simulated powder diffraction line list. Radiation: Cu Kα (λ = 1.5418 Å). Structure: a crystal structure in Alexandria, relaxed with PBE.

The 6 most intense peaks (10 to 80 degrees two-theta), sorted by position:
Position (°2θ)  Rel. int.
30.69  100
30.87  32
35.64  67
51.16  24
51.41  23
60.96  28

Cell and atoms:
```
Pr3Dy6Er2Pu
1.0
3.0918 -5.3572 0.0000
3.0918 5.3572 0.0000
-2.0673 0.0000 11.5853
Pr Dy Er Pu
3 6 2 1
Direct
0.0000 0.0000 0.0000 Pr
0.3329 0.6671 0.0000 Pr
0.6671 0.3329 0.0000 Pr
0.0898 0.4189 0.2569 Dy
0.2519 0.2519 0.7432 Dy
0.4189 0.0898 0.2569 Dy
0.5811 0.9102 0.7431 Dy
0.7481 0.7481 0.2568 Dy
0.9102 0.5811 0.7431 Dy
0.1667 0.8333 0.5000 Er
0.8333 0.1667 0.5000 Er
0.5000 0.5000 0.5000 Pu
```

Record 5
This entry pairs a crystal structure of Pr4DyEr2Sc with its simulated powder diffraction line list. Radiation: Cu Kα (λ = 1.5418 Å). Structure: a crystal structure in Alexandria, relaxed with PBE.

The 6 most intense peaks (10 to 80 degrees two-theta), sorted by position:
Position (°2θ)  Rel. int.
30.57  100
34.94  35
36.43  16
51.37  23
59.91  15
60.03  15

Cell and atoms:
```
Pr4DyEr2Sc
1.0
5.1290 0.0000 0.0000
0.0000 5.1415 0.0000
0.0000 0.0000 9.8657
Pr Dy Er Sc
4 1 2 1
Direct
0.0000 0.0000 0.2448 Pr
0.0000 0.0000 0.7552 Pr
0.5000 0.5000 0.2447 Pr
0.5000 0.5000 0.7553 Pr
0.0000 0.5000 0.5000 Dy
0.0000 0.5000 0.0000 Er
0.5000 0.0000 0.5000 Er
0.5000 0.0000 0.0000 Sc
```

Record 6
This entry pairs a crystal structure of PrDy5ErSc2 with its simulated powder diffraction line list. Radiation: Cu Kα (λ = 1.5418 Å). Structure: a crystal structure in Alexandria, relaxed with PBE.

The 6 most intense peaks (10 to 80 degrees two-theta), sorted by position:
Position (°2θ)  Rel. int.
25.23  20
26.61  23
31.97  59
32.51  100
33.24  74
34.63  49

Cell and atoms:
```
PrDy5ErSc2
1.0
2.7996 -10.7715 0.0000
2.7996 10.7715 0.0000
0.0000 0.0000 9.3182
Pr Dy Er Sc
2 10 2 4
Direct
0.1842 0.8158 0.5000 Pr
0.8158 0.1842 0.0000 Pr
0.0088 0.9912 0.4972 Dy
0.2659 0.7341 0.8148 Dy
0.3076 0.6924 0.2009 Dy
0.3927 0.6073 0.5294 Dy
0.4681 0.5319 0.2305 Dy
0.5319 0.4681 0.7305 Dy
0.6073 0.3927 0.0294 Dy
0.6924 0.3076 0.7009 Dy
0.7341 0.2659 0.3148 Dy
0.9912 0.0088 0.9972 Dy
0.4033 0.5967 0.9014 Er
0.5967 0.4033 0.4014 Er
0.1135 0.8865 0.8079 Sc
0.1375 0.8625 0.1806 Sc
0.8625 0.1375 0.6806 Sc
0.8865 0.1135 0.3079 Sc
```

Record 7
This entry pairs a crystal structure of PrDy2Er4Sc with its simulated powder diffraction line list. Radiation: Cu Kα (λ = 1.5418 Å). Structure: a crystal structure in Alexandria, relaxed with PBE.

The 6 most intense peaks (10 to 80 degrees two-theta), sorted by position:
Position (°2θ)  Rel. int.
30.29  48
31.47  45
33.31  100
37.85  40
57.22  26
62.02  26

Cell and atoms:
```
PrDy2Er4Sc
1.0
7.0371 0.0000 0.0000
3.4990 6.1130 0.0000
0.0026 0.0015 11.3716
Pr Dy Er Sc
2 4 8 2
Direct
0.0000 0.0000 0.0000 Pr
0.5000 0.5000 0.0000 Pr
0.0000 0.0000 0.5000 Dy
0.0000 0.5000 0.5000 Dy
0.5000 0.0000 0.0000 Dy
0.5000 0.0000 0.5000 Dy
0.1662 0.1692 0.2501 Er
0.1671 0.6661 0.2526 Er
0.3329 0.3334 0.7480 Er
0.3345 0.8309 0.7457 Er
0.6655 0.1691 0.2543 Er
0.6671 0.6666 0.2520 Er
0.8329 0.3339 0.7474 Er
0.8338 0.8308 0.7499 Er
0.0000 0.5000 0.0000 Sc
0.5000 0.5000 0.5000 Sc
```

Record 8
This entry pairs a crystal structure of PrDy2ErSe6 with its simulated powder diffraction line list. Radiation: Cu Kα (λ = 1.5418 Å). Structure: a crystal structure in Alexandria, relaxed with PBE.

The 6 most intense peaks (10 to 80 degrees two-theta), sorted by position:
Position (°2θ)  Rel. int.
16.75  43
23.06  60
24.46  42
28.10  60
37.08  100
43.06  65

Cell and atoms:
```
PrDy2ErSe6
1.0
3.6385 2.1007 6.5038
-3.6385 2.1007 6.5038
0.0000 -4.2014 6.5038
Pr Dy Er Se
1 2 1 6
Direct
0.0000 0.0000 0.0000 Pr
0.2960 0.2960 0.2960 Dy
0.8003 0.8003 0.8003 Dy
0.4934 0.4934 0.4934 Er
0.0888 0.6816 0.4159 Se
0.2038 0.5854 0.8941 Se
0.4159 0.0888 0.6817 Se
0.5854 0.8941 0.2038 Se
0.6817 0.4159 0.0888 Se
0.8941 0.2038 0.5854 Se
```